This entry pairs a crystal structure of Hg4AuBr2O with its theoretical powder diffractogram. Radiation: Cu Kα (λ = 1.5418 Å). Structure: a structure optimized by DFT (GGA-PBE).
Lines closer than 0.1° are merged.

Principal peaks in the range 2θ = 5–70°, low angle first:
13.1°, intensity 52
23.9°, intensity 36
28.0°, intensity 63
31.8°, intensity 100
32.3°, intensity 96
32.7°, intensity 34
32.9°, intensity 35
40.7°, intensity 33
42.9°, intensity 37
43.3°, intensity 36
45.3°, intensity 39
46.7°, intensity 32

Crystal structure
a = 8.4485 Å, b = 8.4485 Å, c = 7.7834 Å
α = 117.00°, β = 117.00°, γ = 97.98°
Sites, in units of the cell vectors:
Hg  0.1795  0.2926  0.4846
Hg  0.2239  0.7733  0.5341
Hg  0.2267  0.7761  0.9659
Hg  0.2926  0.1795  0.9846
Hg  0.7074  0.8205  0.0154
Hg  0.7733  0.2239  0.0341
Hg  0.7761  0.2267  0.4659
Hg  0.8205  0.7074  0.5154
Au  0.0000  0.0000  0.0000
Au  0.0000  0.0000  0.5000
Br  0.0000  0.5000  0.0000
Br  0.5000  0.0000  0.5000
Br  0.5000  0.5000  0.0000
Br  0.5000  0.5000  0.5000
O  0.0000  0.5000  0.5000
O  0.5000  0.0000  0.0000

---

This entry pairs a crystal structure of Au3I2Br6 with its theoretical powder diffractogram. Radiation: Cu Kα (λ = 1.5418 Å). Structure: a structure optimized by DFT (GGA-PBE).
Lines closer than 0.1° are merged.

Principal peaks in the range 2θ = 5–70°, low angle first:
10.4°, intensity 69
14.4°, intensity 23
20.9°, intensity 72
21.6°, intensity 100
23.1°, intensity 33
26.2°, intensity 30
30.1°, intensity 45
32.6°, intensity 38
38.0°, intensity 22
42.1°, intensity 20
42.9°, intensity 25
45.6°, intensity 21

Crystal structure
a = 7.7601 Å, b = 7.7601 Å, c = 17.9549 Å
α = 105.77°, β = 105.77°, γ = 66.38°
Sites, in units of the cell vectors:
Au  0.1634  0.8366  0.7500
Au  0.1939  0.5514  0.2688
Au  0.4486  0.8061  0.2312
Au  0.5514  0.1939  0.7688
Au  0.8061  0.4486  0.7312
Au  0.8366  0.1634  0.2500
I  0.1839  0.6906  0.5118
I  0.3094  0.8161  0.9882
I  0.6906  0.1839  0.0118
I  0.8161  0.3094  0.4882
Br  0.0667  0.7459  0.8470
Br  0.1130  0.4564  0.3723
Br  0.2270  0.5913  0.1435
Br  0.2541  0.9333  0.6530
Br  0.4087  0.7730  0.3565
Br  0.4564  0.1130  0.8723
Br  0.5436  0.8870  0.1277
Br  0.5913  0.2270  0.6435
Br  0.7459  0.0667  0.3470
Br  0.7730  0.4087  0.8565
Br  0.8870  0.5436  0.6277
Br  0.9333  0.2541  0.1530

---

This entry pairs a crystal structure of AuIBr3 with its theoretical powder diffractogram. Radiation: Cu Kα (λ = 1.5418 Å). Structure: a structure optimized by DFT (GGA-PBE).
Lines closer than 0.1° are merged.

Principal peaks in the range 2θ = 5–70°, low angle first:
11.5°, intensity 75
12.3°, intensity 25
16.0°, intensity 12
16.4°, intensity 19
16.9°, intensity 12
19.6°, intensity 100
22.5°, intensity 38
25.9°, intensity 14
26.7°, intensity 15
38.2°, intensity 14
40.3°, intensity 11
41.3°, intensity 13

Crystal structure
a = 5.7901 Å, b = 8.1283 Å, c = 11.2292 Å
α = 72.60°, β = 75.27°, γ = 79.73°
Sites, in units of the cell vectors:
Au  0.0000  0.0000  0.0000
Au  0.4595  0.8064  0.5128
I  0.1959  0.0350  0.1837
I  0.6522  0.8515  0.6884
Br  0.0738  0.3056  0.9724
Br  0.2676  0.7281  0.3497
Br  0.4329  0.1186  0.3991
Br  0.4877  0.4966  0.6195
Br  0.8253  0.0669  0.8062
Br  0.9466  0.6919  0.0673